Entry 1:
# NiH10C10S8N2
Calculated XRD peak list, λ = 1.5418 Å (Cu Kα). Input: a cell relaxed with GGA-PBE.

Largest 12 diffraction maxima, most intense first, 2θ = 10–80°:
hkl 1 1 0, 2θ = 26.1°, I 100; hkl 0 1 1, 2θ = 14.7°, I 42; hkl 1 0 -2, 2θ = 24.2°, I 27; hkl 1 1 -1, 2θ = 26.3°, I 24; hkl 0 1 2, 2θ = 18.0°, I 23; hkl 1 0 -1, 2θ = 22.3°, I 15; hkl 0 0 5, 2θ = 29.4°, I 12; hkl 0 0 6, 2θ = 35.4°, I 12; hkl 1 -3 0, 2θ = 46.2°, I 11; hkl 2 1 -2, 2θ = 47.9°, I 11; hkl 0 1 4, 2θ = 27.4°, I 8; hkl 2 2 -1, 2θ = 53.5°, I 7

Cell and atoms:
```
data_NiH10C10S8N2
_space_group_name_H-M_alt 'P -1'
_space_group_IT_number 2
_space_group_name_Hall '-P 1'
_cell_length_a 4.0596
_cell_length_b 6.6450
_cell_length_c 15.2303
_cell_angle_alpha 91.62
_cell_angle_beta 93.94
_cell_angle_gamma 91.30
loop_
_atom_site_label
_atom_site_type_symbol
_atom_site_fract_x
_atom_site_fract_y
_atom_site_fract_z
Ni1 Ni 0.0000 0.0000 0.0000
H1 H 0.0036 0.2596 0.4672
H2 H 0.0845 0.6802 0.6968
H3 H 0.0879 0.9671 0.5964
H4 H 0.3971 0.8544 0.5348
H5 H 0.4903 0.7897 0.6963
C1 C 0.1880 0.8230 0.5748
C2 C 0.2150 0.8451 0.1808
C3 C 0.2940 0.7063 0.6560
C4 C 0.3242 0.7004 0.1204
C5 C 0.4342 0.6358 0.2762
S1 S 0.0100 0.0487 0.1409
S2 S 0.2615 0.7235 0.0105
S3 S 0.4511 0.4627 0.6229
S4 S 0.4843 0.4908 0.8230
N1 N 0.2794 0.8074 0.2680
```


Entry 2:
# Al8Fe5
Calculated XRD peak list, λ = 1.5418 Å (Cu Kα). Input: a cell relaxed with GGA-PBE.

Largest 12 diffraction maxima, most intense first, 2θ = 10–80°:
hkl 3 3 0, 2θ = 43.7°, I 100; hkl 2 1 1, 2θ = 24.8°, I 21; hkl 6 0 0, 2θ = 63.5°, I 11; hkl 4 2 2, 2θ = 50.9°, I 6; hkl 4 4 4, 2θ = 74.9°, I 4; hkl 5 3 2, 2θ = 65.5°, I 3; hkl 3 3 2, 2θ = 48.6°, I 3; hkl 5 5 0, 2θ = 76.7°, I 3; hkl 6 3 1, 2θ = 73.0°, I 1; hkl 1 1 0, 2θ = 14.3°, I 1; hkl 5 4 1, 2θ = 69.3°, I 1; hkl 2 2 0, 2θ = 28.7°, I 1

Cell and atoms:
```
data_Al8Fe5
_space_group_name_H-M_alt 'I -4 3 m'
_space_group_IT_number 217
_space_group_name_Hall 'I -4 2 3'
_cell_length_a 8.7882
_cell_length_b 8.7882
_cell_length_c 8.7882
_cell_angle_alpha 90.00
_cell_angle_beta 90.00
_cell_angle_gamma 90.00
loop_
_atom_site_label
_atom_site_type_symbol
_atom_site_fract_x
_atom_site_fract_y
_atom_site_fract_z
Al1 Al 0.0390 0.3110 0.6890
Al2 Al 0.1059 0.1059 0.8941
Fe1 Fe 0.0000 0.0000 0.3599
Fe2 Fe 0.1685 0.1685 0.1685
```


Entry 3:
# Os9Se8
Calculated XRD peak list, λ = 1.5418 Å (Cu Kα). Input: a cell relaxed with GGA-PBE.

Largest 12 diffraction maxima, most intense first, 2θ = 10–80°:
hkl 4 4 0, 2θ = 47.0°, I 100; hkl 3 1 1, 2θ = 27.0°, I 80; hkl 5 1 1, 2θ = 43.0°, I 51; hkl 1 1 1, 2θ = 14.0°, I 25; hkl 5 5 3, 2θ = 65.5°, I 18; hkl 8 0 0, 2θ = 68.6°, I 15; hkl 5 5 5, 2θ = 75.2°, I 14; hkl 3 3 1, 2θ = 35.8°, I 13; hkl 4 0 0, 2θ = 32.7°, I 13; hkl 5 3 3, 2θ = 55.0°, I 11; hkl 2 0 0, 2θ = 16.2°, I 10; hkl 2 2 2, 2θ = 28.3°, I 10

Cell and atoms:
```
data_Os9Se8
_space_group_name_H-M_alt 'F m -3 m'
_space_group_IT_number 225
_space_group_name_Hall '-F 4 2 3'
_cell_length_a 10.9414
_cell_length_b 10.9414
_cell_length_c 10.9414
_cell_angle_alpha 90.00
_cell_angle_beta 90.00
_cell_angle_gamma 90.00
loop_
_atom_site_label
_atom_site_type_symbol
_atom_site_fract_x
_atom_site_fract_y
_atom_site_fract_z
Os1 Os 0.0000 0.0000 0.0000
Os2 Os 0.1211 0.1211 0.3789
Se1 Se 0.0000 0.0000 0.2252
Se2 Se 0.2500 0.2500 0.2500
```


Entry 4:
# Pr6Ni6P17
Calculated XRD peak list, λ = 1.5418 Å (Cu Kα). Input: a cell relaxed with GGA-PBE.

Largest 12 diffraction maxima, most intense first, 2θ = 10–80°:
hkl 2 2 2, 2θ = 30.6°, I 100; hkl 4 0 0, 2θ = 35.5°, I 78; hkl 3 3 0, 2θ = 37.7°, I 58; hkl 3 1 0, 2θ = 27.9°, I 40; hkl 6 2 2, 2θ = 60.7°, I 39; hkl 4 4 0, 2θ = 51.1°, I 37; hkl 5 5 2, 2θ = 68.1°, I 21; hkl 4 2 2, 2θ = 43.9°, I 20; hkl 5 2 1, 2θ = 49.4°, I 19; hkl 2 1 1, 2θ = 21.5°, I 18; hkl 2 2 0, 2θ = 24.9°, I 17; hkl 4 3 3, 2θ = 52.8°, I 15

Cell and atoms:
```
data_Pr6Ni6P17
_space_group_name_H-M_alt 'I -4 3 m'
_space_group_IT_number 217
_space_group_name_Hall 'I -4 2 3'
_cell_length_a 10.1144
_cell_length_b 10.1144
_cell_length_c 10.1144
_cell_angle_alpha 90.00
_cell_angle_beta 90.00
_cell_angle_gamma 90.00
loop_
_atom_site_label
_atom_site_type_symbol
_atom_site_fract_x
_atom_site_fract_y
_atom_site_fract_z
Pr1 Pr 0.0000 0.0000 0.2885
Ni1 Ni 0.0000 0.2500 0.5000
P1 P 0.0000 0.0000 0.0000
P2 P 0.0676 0.2983 0.7017
P3 P 0.2129 0.2129 0.2129
```


Entry 5:
# LuSiHO4
Calculated XRD peak list, λ = 1.5418 Å (Cu Kα). Input: a cell relaxed with GGA-PBE.

Largest 12 diffraction maxima, most intense first, 2θ = 10–80°:
hkl 2 1 1, 2θ = 21.9°, I 100; hkl 1 1 0, 2θ = 12.3°, I 57; hkl 4 1 0, 2θ = 33.0°, I 54; hkl 0 0 3, 2θ = 33.3°, I 35; hkl 3 -2 2, 2θ = 29.1°, I 33; hkl 0 4 2, 2θ = 36.5°, I 24; hkl 2 2 0, 2θ = 24.8°, I 24; hkl 4 1 3, 2θ = 47.6°, I 23; hkl 1 6 1, 2θ = 49.4°, I 23; hkl 0 1 2, 2θ = 23.1°, I 23; hkl 3 -1 4, 2θ = 49.1°, I 19; hkl 1 1 3, 2θ = 35.6°, I 19

Cell and atoms:
```
data_LuSiHO4
_space_group_name_H-M_alt 'R 3'
_space_group_IT_number 146
_space_group_name_Hall 'R 3'
_cell_length_a 14.3576
_cell_length_b 14.3576
_cell_length_c 8.0849
_cell_angle_alpha 90.00
_cell_angle_beta 90.00
_cell_angle_gamma 120.00
loop_
_atom_site_label
_atom_site_type_symbol
_atom_site_fract_x
_atom_site_fract_y
_atom_site_fract_z
Lu1 Lu 0.0229 0.7828 0.0000
Lu2 Lu 0.1114 0.4326 0.0789
Si1 Si 0.0036 0.8004 0.5882
Si2 Si 0.1359 0.4311 0.7098
H1 H 0.0657 0.5958 0.0023
H2 H 0.1718 0.0618 0.7796
O1 O 0.0082 0.3739 0.2992
O2 O 0.0410 0.7031 0.2228
O3 O 0.0731 0.8332 0.7538
O4 O 0.0799 0.5004 0.7762
O5 O 0.0841 0.8594 0.4246
O6 O 0.1759 0.0759 0.9050
O7 O 0.1780 0.0819 0.5874
O8 O 0.2089 0.4305 0.8657
```


Entry 6:
# PrZn2GaPt
Calculated XRD peak list, λ = 1.5418 Å (Cu Kα). Input: a cell relaxed with GGA-PBE.

Largest 12 diffraction maxima, most intense first, 2θ = 10–80°:
hkl 1 1 2, 2θ = 34.3°, I 100; hkl 2 0 0, 2θ = 42.6°, I 46; hkl 1 0 3, 2θ = 32.8°, I 39; hkl 1 0 1, 2θ = 22.5°, I 23; hkl 3 1 2, 2θ = 72.6°, I 22; hkl 1 0 5, 2θ = 47.5°, I 19; hkl 2 1 3, 2θ = 54.8°, I 18; hkl 1 1 4, 2θ = 45.4°, I 17; hkl 2 2 0, 2θ = 61.8°, I 15; hkl 2 1 5, 2θ = 65.7°, I 14; hkl 1 1 6, 2θ = 60.3°, I 13; hkl 0 0 4, 2θ = 33.5°, I 11

Cell and atoms:
```
data_PrZn2GaPt
_space_group_name_H-M_alt 'I -4 m 2'
_space_group_IT_number 119
_space_group_name_Hall 'I -4 -2'
_cell_length_a 4.2435
_cell_length_b 4.2435
_cell_length_c 10.7144
_cell_angle_alpha 90.00
_cell_angle_beta 90.00
_cell_angle_gamma 90.00
loop_
_atom_site_label
_atom_site_type_symbol
_atom_site_fract_x
_atom_site_fract_y
_atom_site_fract_z
Pr1 Pr 0.0000 0.0000 0.0000
Zn1 Zn 0.0000 0.0000 0.3857
Ga1 Ga 0.0000 0.5000 0.2500
Pt1 Pt 0.0000 0.5000 0.7500
```


Entry 7:
# U2Tc
Calculated XRD peak list, λ = 1.5418 Å (Cu Kα). Input: a cell relaxed with GGA-PBE.

Largest 12 diffraction maxima, most intense first, 2θ = 10–80°:
hkl 1 1 3, 2θ = 38.4°, I 100; hkl 0 2 0, 2θ = 35.6°, I 32; hkl 2 0 0, 2θ = 39.5°, I 24; hkl 1 3 3, 2θ = 65.8°, I 21; hkl 2 2 0, 2θ = 54.2°, I 20; hkl 0 0 2, 2θ = 18.2°, I 18; hkl 3 1 3, 2θ = 70.9°, I 17; hkl 1 1 5, 2θ = 54.3°, I 9; hkl 0 2 6, 2θ = 68.7°, I 8; hkl 2 0 6, 2θ = 71.3°, I 7; hkl 0 0 6, 2θ = 56.7°, I 7; hkl 1 1 1, 2θ = 27.9°, I 7

Cell and atoms:
```
data_U2Tc
_space_group_name_H-M_alt 'F m m m'
_space_group_IT_number 69
_space_group_name_Hall '-F 2 2'
_cell_length_a 4.5651
_cell_length_b 5.0452
_cell_length_c 9.7449
_cell_angle_alpha 90.00
_cell_angle_beta 90.00
_cell_angle_gamma 90.00
loop_
_atom_site_label
_atom_site_type_symbol
_atom_site_fract_x
_atom_site_fract_y
_atom_site_fract_z
U1 U 0.0000 0.0000 0.1794
Tc1 Tc 0.0000 0.0000 0.5000
```


Entry 8:
# Tm3SbO6
Calculated XRD peak list, λ = 1.5418 Å (Cu Kα). Input: a cell relaxed with GGA-PBE.

Largest 12 diffraction maxima, most intense first, 2θ = 10–80°:
hkl 3 1 -1, 2θ = 29.8°, I 100; hkl 1 1 -3, 2θ = 31.4°, I 94; hkl 2 0 2, 2θ = 32.2°, I 50; hkl 0 2 0, 2θ = 30.3°, I 32; hkl 1 1 -2, 2θ = 23.7°, I 30; hkl 2 2 2, 2θ = 44.8°, I 24; hkl 1 1 5, 2θ = 57.9°, I 22; hkl 4 0 -4, 2θ = 42.9°, I 21; hkl 0 2 1, 2θ = 31.9°, I 20; hkl 5 1 1, 2θ = 54.9°, I 19; hkl 4 2 -3, 2θ = 49.0°, I 17; hkl 1 3 -2, 2θ = 50.0°, I 17

Cell and atoms:
```
data_Tm3SbO6
_space_group_name_H-M_alt 'C 1 2/c 1'
_space_group_IT_number 15
_space_group_name_Hall '-C 2yc'
_cell_length_a 10.4585
_cell_length_b 5.9004
_cell_length_c 9.7890
_cell_angle_alpha 90.00
_cell_angle_beta 113.29
_cell_angle_gamma 90.00
loop_
_atom_site_label
_atom_site_type_symbol
_atom_site_fract_x
_atom_site_fract_y
_atom_site_fract_z
Tm1 Tm 0.0000 0.1981 0.2500
Tm2 Tm 0.1508 0.3336 0.6200
Sb1 Sb 0.2500 0.2500 0.0000
O1 O 0.0548 0.2921 0.0563
O2 O 0.1550 0.0695 0.7814
O3 O 0.1827 0.4021 0.3910
```